Record 1
Structure and computed X-ray diffraction stick pattern of Sc6InHg5 (a DFT-relaxed cell (GGA-PBE, Alexandria); CuKα).
Lines closer than 0.1° are merged.

Atomic structure:
```
Sc6InHg5
1.0
2.487 -7.472 0.000
2.487 7.472 0.000
0.000 0.000 7.088
Sc In Hg
6 1 5
Direct
0.000 0.000 0.246
0.000 0.000 0.754
0.331 0.669 0.249
0.331 0.669 0.751
0.669 0.331 0.249
0.669 0.331 0.751
0.500 0.500 0.500
0.165 0.835 0.000
0.165 0.835 0.500
0.500 0.500 0.000
0.835 0.165 0.000
0.835 0.165 0.500
```

Largest 8 diffraction maxima, in order of falling intensity, 10° ≤ 2θ ≤ 90°:
- 2.497 Å, 35.96°, I 100
- 2.489 Å, 36.09°, I 49
- 3.520 Å, 25.30°, I 45
- 1.439 Å, 64.81°, I 35
- 3.544 Å, 25.13°, I 23
- 2.037 Å, 44.48°, I 21
- 1.444 Å, 64.56°, I 18
- 1.760 Å, 51.96°, I 17

=====

Record 2
Structure and computed X-ray diffraction stick pattern of Ce3Nd4ScTe8 (a DFT-relaxed cell (GGA-PBE, Alexandria); CuKα).
Lines closer than 0.1° are merged.

Atomic structure:
```
Ce3Nd4ScTe8
1.0
7.729 -4.462 0.000
7.729 4.462 0.000
-5.151 0.000 7.297
Ce Nd Sc Te
3 4 1 8
Direct
0.000 0.000 0.000
0.000 0.500 0.000
0.500 0.000 0.000
0.000 0.000 0.500
0.000 0.500 0.500
0.500 0.000 0.500
0.500 0.500 0.500
0.500 0.500 0.000
0.250 0.250 0.250
0.258 0.742 0.241
0.258 0.742 0.759
0.259 0.259 0.759
0.741 0.741 0.241
0.742 0.258 0.241
0.742 0.258 0.759
0.750 0.750 0.750
```

Largest 8 diffraction maxima, in order of falling intensity, 10° ≤ 2θ ≤ 90°:
- 3.157 Å, 28.27°, I 100
- 2.232 Å, 40.41°, I 76
- 1.412 Å, 66.20°, I 34
- 1.823 Å, 50.05°, I 27
- 1.289 Å, 73.47°, I 19
- 1.578 Å, 58.48°, I 13
- 1.288 Å, 73.52°, I 6
- 1.116 Å, 87.43°, I 4

=====

Record 3
Structure and computed X-ray diffraction stick pattern of Tm7Sc3Cd (a DFT-relaxed cell (GGA-PBE, Alexandria); CuKα).
Lines closer than 0.1° are merged.

Atomic structure:
```
Tm7Sc3Cd
1.0
6.755 0.000 0.000
-3.377 5.850 0.000
0.000 0.000 8.142
Tm Sc Cd
7 3 1
Direct
0.000 0.000 0.000
0.002 0.501 0.998
0.327 0.164 0.658
0.499 0.501 0.998
0.499 0.998 0.998
0.836 0.164 0.658
0.836 0.673 0.658
0.166 0.331 0.327
0.166 0.834 0.327
0.669 0.834 0.327
0.333 0.667 0.651
```

Largest 8 diffraction maxima, in order of falling intensity, 10° ≤ 2θ ≤ 90°:
- 2.753 Å, 32.53°, I 100
- 2.375 Å, 37.88°, I 64
- 8.142 Å, 10.87°, I 41
- 2.714 Å, 33.00°, I 28
- 1.671 Å, 54.96°, I 23
- 1.434 Å, 65.05°, I 23
- 1.689 Å, 54.33°, I 20
- 1.439 Å, 64.77°, I 14

=====

Record 4
Structure and computed X-ray diffraction stick pattern of Li7MgAu3 (a DFT-relaxed cell (GGA-PBE, Alexandria); CuKα).
Lines closer than 0.1° are merged.

Atomic structure:
```
Li7MgAu3
1.0
1.554 -10.992 0.000
1.554 10.992 0.000
0.000 0.000 10.944
Li Mg Au
14 2 6
Direct
0.007 0.993 0.614
0.007 0.993 0.886
0.103 0.897 0.250
0.171 0.829 0.580
0.171 0.829 0.920
0.298 0.702 0.620
0.298 0.702 0.880
0.702 0.298 0.120
0.702 0.298 0.380
0.829 0.171 0.080
0.829 0.171 0.420
0.897 0.103 0.750
0.993 0.007 0.114
0.993 0.007 0.386
0.403 0.597 0.250
0.597 0.403 0.750
0.275 0.725 0.250
0.414 0.586 0.528
0.414 0.586 0.972
0.586 0.414 0.028
0.586 0.414 0.472
0.725 0.275 0.750
```

Largest 8 diffraction maxima, in order of falling intensity, 10° ≤ 2θ ≤ 90°:
- 4.901 Å, 18.10°, I 100
- 3.878 Å, 22.93°, I 45
- 3.664 Å, 24.29°, I 45
- 2.303 Å, 39.12°, I 43
- 3.078 Å, 29.01°, I 31
- 3.466 Å, 25.71°, I 26
- 1.738 Å, 52.66°, I 26
- 2.209 Å, 40.84°, I 25

=====

Record 5
Structure and computed X-ray diffraction stick pattern of HfMg5Cd6 (a DFT-relaxed cell (GGA-PBE, Alexandria); CuKα).
Lines closer than 0.1° are merged.

Atomic structure:
```
HfMg5Cd6
1.0
5.001 0.000 0.000
0.008 6.716 0.000
2.259 3.343 7.633
Hf Mg Cd
1 5 6
Direct
0.000 0.000 0.000
0.000 0.500 0.000
0.373 0.836 0.329
0.376 0.332 0.335
0.624 0.668 0.665
0.627 0.164 0.671
0.124 0.921 0.666
0.125 0.414 0.665
0.499 0.250 0.999
0.501 0.750 0.001
0.875 0.586 0.335
0.876 0.079 0.334
```

Largest 8 diffraction maxima, in order of falling intensity, 10° ≤ 2θ ≤ 90°:
- 2.463 Å, 36.48°, I 100
- 2.426 Å, 37.05°, I 95
- 2.544 Å, 35.27°, I 57
- 2.499 Å, 35.93°, I 46
- 3.511 Å, 25.37°, I 24
- 6.147 Å, 14.41°, I 24
- 3.625 Å, 24.56°, I 21
- 3.358 Å, 26.54°, I 18

=====

Record 6
Structure and computed X-ray diffraction stick pattern of KSc2FeH (a DFT-relaxed cell (GGA-PBE, Alexandria); CuKα).
Lines closer than 0.1° are merged.

Atomic structure:
```
KSc2FeH
1.0
5.135 0.000 0.000
0.000 5.135 0.000
0.000 0.000 4.187
K Sc Fe H
1 2 1 1
Direct
0.000 0.000 0.000
0.000 0.500 0.000
0.500 0.000 0.000
0.000 0.000 0.500
0.500 0.500 0.500
```

Largest 8 diffraction maxima, in order of falling intensity, 10° ≤ 2θ ≤ 90°:
- 5.135 Å, 17.27°, I 100
- 2.567 Å, 34.95°, I 61
- 2.743 Å, 32.65°, I 49
- 1.622 Å, 56.74°, I 26
- 2.296 Å, 39.23°, I 23
- 1.815 Å, 50.26°, I 20
- 4.187 Å, 21.22°, I 16
- 2.093 Å, 43.22°, I 16

=====

Record 7
Structure and computed X-ray diffraction stick pattern of NaCd4Hg8 (a DFT-relaxed cell (GGA-PBE, Alexandria); CuKα).
Lines closer than 0.1° are merged.

Atomic structure:
```
NaCd4Hg8
1.0
3.367 1.944 8.975
-3.367 1.944 8.975
0.000 -3.887 8.975
Na Cd Hg
1 4 8
Direct
0.000 0.000 0.000
0.000 0.500 0.500
0.500 0.000 0.500
0.500 0.500 0.000
0.500 0.500 0.500
0.208 0.208 0.208
0.217 0.752 0.752
0.248 0.248 0.783
0.248 0.783 0.248
0.752 0.217 0.752
0.752 0.752 0.217
0.783 0.248 0.248
0.792 0.792 0.792
```

Largest 8 diffraction maxima, in order of falling intensity, 10° ≤ 2θ ≤ 90°:
- 2.675 Å, 33.49°, I 100
- 2.850 Å, 31.39°, I 37
- 1.683 Å, 54.51°, I 31
- 2.204 Å, 40.95°, I 30
- 2.564 Å, 35.00°, I 26
- 2.992 Å, 29.87°, I 17
- 3.152 Å, 28.31°, I 17
- 2.444 Å, 36.77°, I 14

=====

Record 8
Structure and computed X-ray diffraction stick pattern of CePu2HfAs4 (a DFT-relaxed cell (GGA-PBE, Alexandria); CuKα).
Lines closer than 0.1° are merged.

Atomic structure:
```
CePu2HfAs4
1.0
7.039 0.000 0.000
0.000 4.073 0.000
-2.354 0.000 6.672
Ce Pu Hf As
1 2 1 4
Direct
0.000 0.000 0.000
0.500 0.000 0.500
0.500 0.500 0.000
0.000 0.500 0.500
0.237 0.000 0.735
0.244 0.500 0.262
0.756 0.500 0.738
0.763 0.000 0.265
```

Largest 8 diffraction maxima, in order of falling intensity, 10° ≤ 2θ ≤ 90°:
- 2.881 Å, 31.04°, I 100
- 2.034 Å, 44.54°, I 37
- 2.040 Å, 44.41°, I 37
- 3.329 Å, 26.78°, I 27
- 1.663 Å, 55.24°, I 13
- 1.440 Å, 64.71°, I 12
- 1.289 Å, 73.50°, I 11
- 1.286 Å, 73.64°, I 11

=====

Record 9
Structure and computed X-ray diffraction stick pattern of Sm3Dy4Ho4 (a DFT-relaxed cell (GGA-PBE, Alexandria); CuKα).
Lines closer than 0.1° are merged.

Atomic structure:
```
Sm3Dy4Ho4
1.0
-1.764 5.608 9.171
1.764 -5.608 9.171
1.764 5.608 -9.171
Sm Dy Ho
3 4 4
Direct
0.000 0.000 0.000
0.392 0.892 0.500
0.608 0.108 0.500
0.219 0.219 0.000
0.290 0.500 0.790
0.710 0.500 0.210
0.781 0.781 0.000
0.072 0.329 0.743
0.415 0.671 0.743
0.585 0.329 0.257
0.928 0.671 0.257
```

Largest 8 diffraction maxima, in order of falling intensity, 10° ≤ 2θ ≤ 90°:
- 2.947 Å, 30.33°, I 100
- 2.684 Å, 33.39°, I 65
- 2.804 Å, 31.92°, I 51
- 2.713 Å, 33.02°, I 41
- 1.493 Å, 62.16°, I 34
- 2.316 Å, 38.89°, I 32
- 3.487 Å, 25.55°, I 30
- 1.764 Å, 51.82°, I 28

=====

Record 10
Structure and computed X-ray diffraction stick pattern of Li4Ga3Ir2 (a DFT-relaxed cell (GGA-PBE, Alexandria); CuKα).
Lines closer than 0.1° are merged.

Atomic structure:
```
Li4Ga3Ir2
1.0
4.724 -2.071 0.000
4.724 2.071 0.000
-4.575 0.000 6.508
Li Ga Ir
4 3 2
Direct
0.004 0.004 0.161
0.332 0.332 0.621
0.668 0.668 0.379
0.996 0.996 0.839
0.000 0.000 0.500
0.321 0.321 0.943
0.679 0.679 0.057
0.346 0.346 0.283
0.654 0.654 0.717
```

Largest 8 diffraction maxima, in order of falling intensity, 10° ≤ 2θ ≤ 90°:
- 4.723 Å, 18.79°, I 100
- 2.188 Å, 41.27°, I 56
- 2.137 Å, 42.29°, I 55
- 3.781 Å, 23.53°, I 37
- 2.869 Å, 31.18°, I 36
- 2.155 Å, 41.92°, I 30
- 2.204 Å, 40.96°, I 29
- 2.071 Å, 43.71°, I 25

=====

Record 11
Structure and computed X-ray diffraction stick pattern of Pr7Ag2Ir2 (a DFT-relaxed cell (GGA-PBE, Alexandria); CuKα).
Lines closer than 0.1° are merged.

Atomic structure:
```
Pr7Ag2Ir2
1.0
4.133 -5.660 0.000
4.133 5.660 0.000
0.000 0.000 7.340
Pr Ag Ir
7 2 2
Direct
0.000 0.000 0.000
0.000 0.500 0.256
0.000 0.500 0.744
0.500 0.000 0.256
0.500 0.000 0.744
0.500 0.500 0.247
0.500 0.500 0.753
0.174 0.174 0.500
0.826 0.826 0.500
0.289 0.711 0.000
0.711 0.289 0.000
```

Largest 8 diffraction maxima, in order of falling intensity, 10° ≤ 2θ ≤ 90°:
- 2.469 Å, 36.38°, I 100
- 2.830 Å, 31.61°, I 54
- 2.507 Å, 35.82°, I 47
- 3.601 Å, 24.72°, I 45
- 3.216 Å, 27.74°, I 29
- 4.482 Å, 19.81°, I 26
- 3.338 Å, 26.71°, I 23
- 2.744 Å, 32.63°, I 22

=====

Record 12
Structure and computed X-ray diffraction stick pattern of LaCe2Ho6Er3 (a DFT-relaxed cell (GGA-PBE, Alexandria); CuKα).
Lines closer than 0.1° are merged.

Atomic structure:
```
LaCe2Ho6Er3
1.0
-2.875 3.727 8.900
2.875 -3.727 8.900
2.875 3.727 -8.900
La Ce Ho Er
1 2 6 3
Direct
0.000 0.000 0.000
0.354 0.354 0.000
0.646 0.646 0.000
0.069 0.819 0.250
0.247 0.500 0.747
0.432 0.181 0.250
0.568 0.819 0.750
0.753 0.500 0.253
0.931 0.181 0.750
0.157 0.657 0.500
0.500 0.000 0.500
0.843 0.343 0.500
```

Largest 8 diffraction maxima, in order of falling intensity, 10° ≤ 2θ ≤ 90°:
- 2.767 Å, 32.36°, I 100
- 2.875 Å, 31.11°, I 29
- 2.967 Å, 30.12°, I 25
- 1.638 Å, 56.15°, I 21
- 2.064 Å, 43.85°, I 18
- 1.672 Å, 54.93°, I 14
- 1.383 Å, 67.74°, I 10
- 1.564 Å, 59.07°, I 10

=====

Record 13
Structure and computed X-ray diffraction stick pattern of KRb2F3 (a DFT-relaxed cell (GGA-PBE, Alexandria); CuKα).
Lines closer than 0.1° are merged.

Atomic structure:
```
KRb2F3
1.0
-1.987 2.811 5.973
1.987 -2.811 5.973
1.987 2.811 -5.973
K Rb F
1 2 3
Direct
0.000 0.000 0.000
0.333 0.333 0.000
0.667 0.667 0.000
0.158 0.658 0.500
0.500 0.000 0.500
0.842 0.342 0.500
```

Largest 8 diffraction maxima, in order of falling intensity, 10° ≤ 2θ ≤ 90°:
- 2.812 Å, 31.82°, I 100
- 3.247 Å, 27.47°, I 61
- 1.989 Å, 45.61°, I 57
- 1.696 Å, 54.08°, I 29
- 1.257 Å, 75.63°, I 22
- 1.624 Å, 56.70°, I 22
- 1.987 Å, 45.66°, I 11
- 1.147 Å, 84.43°, I 10